Diffraction record for Ba3Ag2Pb9. The X-ray diffraction stick pattern is calculated, not measured: it uses a crystal structure in Alexandria, relaxed with PBE and Cu Kα (weighted mean of Kα1 and Kα2).

Top 12 peaks for 15° ≤ 2θ ≤ 90°, by intensity:
d/Å, intensity, h k l
3.075, 100.0, 1 2 3
2.922, 77.5, 1 1 4
2.414, 73.2, 1 3 4
2.582, 67.8, 2 0 0
3.182, 63.1, 1 3 0
2.574, 57.2, 1 4 1
3.160, 43.0, 0 2 4
1.645, 35.5, 1 4 7
1.999, 24.4, 2 2 4
2.469, 22.9, 0 0 6
3.703, 18.7, 0 0 4
1.784, 17.4, 2 0 6

Structure:
```
data_Ba3Ag2Pb9
_chemical_formula_sum 'Ba6 Ag4 Pb18'
_symmetry_space_group_name_H-M 'I m m m'
_symmetry_Int_Tables_number 71
_symmetry_space_group_name_Hall '-I 2 2'
_cell_length_a 5.1639
_cell_length_b 12.1230
_cell_length_c 14.8128
_cell_angle_alpha 90.00
_cell_angle_beta 90.00
_cell_angle_gamma 90.00
loop_
_atom_site_label
_atom_site_fract_x
_atom_site_fract_y
_atom_site_fract_z
_atom_site_occupancy
Ba1 0.0000 0.0000 0.0000 1
Ba2 0.0000 0.0000 0.2989 1
Ag1 0.0000 0.1639 0.5000 1
Pb1 0.0000 0.2922 0.1492 1
Pb2 0.0000 0.3585 0.3670 1
Pb3 0.0000 0.5000 0.0000 1
```